[1]
Simulated PXRD pattern of Ba2Ac4Ir for Cu Kα, from DFT lattice parameters and positions (PBE).

Structural model:
```
data_Ba2Ac4Ir
_chemical_formula_sum 'Ba4 Ac8 Ir2'
_cell_length_a 5.9336
_cell_length_b 5.9336
_cell_length_c 20.6478
_cell_angle_alpha 90.00
_cell_angle_beta 90.00
_cell_angle_gamma 90.00
_symmetry_space_group_name_H-M 'I 4/m m m'
_symmetry_Int_Tables_number 139
_symmetry_space_group_name_Hall '-I 4 2'
loop_
_atom_site_label
_atom_site_fract_x
_atom_site_fract_y
_atom_site_fract_z
Ba1 0.0000 0.0000 0.1605
Ac1 0.0000 0.0000 0.3596
Ac2 0.0000 0.5000 0.0000
Ir1 0.0000 0.0000 0.5000
```

Top 10 peaks for 2θ from 10° to 90°, in order of rising 2θ:
- hkl 1 0 1, 2θ 15.54, d 5.703, intensity 57.1
- hkl 1 1 0, 2θ 21.18, d 4.196, intensity 27.7
- hkl 1 1 2, 2θ 22.88, d 3.887, intensity 44.8
- hkl 0 0 6, 2θ 25.89, d 3.441, intensity 52.3
- hkl 1 1 4, 2θ 27.39, d 3.256, intensity 97.3
- hkl 2 0 0, 2θ 30.12, d 2.967, intensity 100.0
- hkl 2 0 6, 2θ 40.13, d 2.247, intensity 66.6
- hkl 2 2 0, 2θ 43.12, d 2.098, intensity 38.2
- hkl 2 2 6, 2θ 50.99, d 1.791, intensity 35.5
- hkl 3 1 4, 2θ 51.85, d 1.763, intensity 34.6

[2]
Simulated PXRD pattern of BaAc3Ir for Cu Kα, from DFT lattice parameters and positions (PBE).

Structural model:
```
data_BaAc3Ir
_chemical_formula_sum 'Ba4 Ac12 Ir4'
_cell_length_a 10.9068
_cell_length_b 7.4524
_cell_length_c 11.0909
_cell_angle_alpha 90.00
_cell_angle_beta 101.17
_cell_angle_gamma 90.00
_symmetry_space_group_name_H-M 'P 1 21/c 1'
_symmetry_Int_Tables_number 14
loop_
_symmetry_equiv_pos_as_xyz
'x,y,z'
'-x,-y,-z'
'-x,y+1/2,-z+1/2'
'x,-y+1/2,z+1/2'
loop_
_atom_site_label
_atom_site_fract_x
_atom_site_fract_y
_atom_site_fract_z
Ba1 0.0652 0.0874 0.1872
Ac1 0.1909 0.5853 0.0587
Ac2 0.3210 0.0761 0.9349
Ac3 0.4403 0.5846 0.8214
Ir1 0.4315 0.7458 0.5684
```

Top 10 peaks for 2θ from 10° to 90°, in order of rising 2θ:
- hkl 2 0 2, 2θ 25.51, d 3.492, intensity 22.5
- hkl 1 2 1, 2θ 27.14, d 3.285, intensity 100.0
- hkl 3 1 -1, 2θ 27.50, d 3.243, intensity 48.6
- hkl 0 1 4, 2θ 35.12, d 2.555, intensity 19.5
- hkl 2 2 2, 2θ 35.23, d 2.548, intensity 18.9
- hkl 4 1 0, 2θ 35.66, d 2.518, intensity 17.7
- hkl 2 3 -2, 2θ 42.14, d 2.144, intensity 33.4
- hkl 4 0 -4, 2θ 42.56, d 2.124, intensity 15.3
- hkl 1 1 5, 2θ 45.78, d 1.982, intensity 14.7
- hkl 1 4 1, 2θ 50.71, d 1.800, intensity 12.9

[3]
Simulated PXRD pattern of BaAc2Ir for Cu Kα, from DFT lattice parameters and positions (PBE).

Structural model:
```
data_BaAc2Ir
_chemical_formula_sum 'Ba3 Ac6 Ir3'
_cell_length_a 4.4172
_cell_length_b 4.4172
_cell_length_c 31.5330
_cell_angle_alpha 90.00
_cell_angle_beta 90.00
_cell_angle_gamma 120.00
_symmetry_space_group_name_H-M 'R 3 m'
_symmetry_Int_Tables_number 160
_symmetry_space_group_name_Hall 'R 3 -2"'
loop_
_atom_site_label
_atom_site_fract_x
_atom_site_fract_y
_atom_site_fract_z
Ba1 0.0000 0.0000 0.0000
Ac1 0.0000 0.0000 0.5475
Ac2 0.0000 0.0000 0.7823
Ir1 0.0000 0.0000 0.1648
```

Top 10 peaks for 2θ from 10° to 90°, in order of rising 2θ:
- hkl 1 0 4, 2θ 25.89, d 3.442, intensity 31.3
- hkl 0 1 5, 2θ 27.27, d 3.271, intensity 100.0
- hkl 0 1 8, 2θ 32.62, d 2.745, intensity 48.2
- hkl 1 1 0, 2θ 40.86, d 2.209, intensity 49.5
- hkl 1 1 3, 2θ 41.79, d 2.161, intensity 16.7
- hkl 1 0 13, 2θ 44.21, d 2.049, intensity 34.8
- hkl 2 0 5, 2θ 49.82, d 1.830, intensity 19.7
- hkl 1 2 5, 2θ 66.33, d 1.409, intensity 16.9
- hkl 1 1 18, 2θ 68.34, d 1.373, intensity 19.9
- hkl 2 1 13, 2θ 76.74, d 1.242, intensity 21.1

[4]
Simulated PXRD pattern of K4BaAc3O8 for Cu Kα, from DFT lattice parameters and positions (PBE).

Structural model:
```
data_K4BaAc3O8
_chemical_formula_sum 'K12 Ba3 Ac9 O24'
_cell_length_a 7.7711
_cell_length_b 7.7711
_cell_length_c 19.1091
_cell_angle_alpha 90.00
_cell_angle_beta 90.00
_cell_angle_gamma 120.00
_symmetry_space_group_name_H-M 'R -3 m'
_symmetry_Int_Tables_number 166
_symmetry_space_group_name_Hall '-R 3 2"'
loop_
_atom_site_label
_atom_site_fract_x
_atom_site_fract_y
_atom_site_fract_z
K1 0.0000 0.0000 0.0000
K2 0.0000 0.5000 0.0000
Ba1 0.0000 0.0000 0.5000
Ac1 0.0000 0.5000 0.5000
O1 0.0000 0.0000 0.2336
O2 0.0200 0.5100 0.7669
```

Top 10 peaks for 2θ from 10° to 90°, in order of rising 2θ:
- hkl 0 0 3, 2θ 13.91, d 6.368, intensity 86.9
- hkl 0 2 1, 2θ 26.90, d 3.314, intensity 47.6
- hkl 0 0 6, 2θ 28.09, d 3.177, intensity 100.0
- hkl 0 2 4, 2θ 32.55, d 2.751, intensity 87.4
- hkl 2 0 5, 2θ 35.54, d 2.526, intensity 19.3
- hkl 0 2 7, 2θ 42.64, d 2.120, intensity 22.1
- hkl 2 0 8, 2θ 46.63, d 1.948, intensity 29.4
- hkl 2 2 0, 2θ 46.76, d 1.943, intensity 31.2
- hkl 2 2 3, 2θ 49.02, d 1.858, intensity 22.7
- hkl 2 2 6, 2θ 55.42, d 1.658, intensity 36.7

[5]
Simulated PXRD pattern of BaAcLa2 for Cu Kα, from DFT lattice parameters and positions (PBE).

Structural model:
```
data_BaAcLa2
_chemical_formula_sum 'Ba3 Ac3 La6'
_cell_length_a 3.9161
_cell_length_b 3.9161
_cell_length_c 39.0255
_cell_angle_alpha 90.00
_cell_angle_beta 90.00
_cell_angle_gamma 120.00
_symmetry_space_group_name_H-M 'R -3 m'
_symmetry_Int_Tables_number 166
_symmetry_space_group_name_Hall '-R 3 2"'
loop_
_atom_site_label
_atom_site_fract_x
_atom_site_fract_y
_atom_site_fract_z
Ba1 0.0000 0.0000 0.0000
Ac1 0.0000 0.0000 0.5000
La1 0.0000 0.0000 0.2450
```

Top 10 peaks for 2θ from 10° to 90°, in order of rising 2θ:
- hkl 0 0 12, 2θ 27.43, d 3.252, intensity 32.8
- hkl 1 0 4, 2θ 27.85, d 3.203, intensity 100.0
- hkl 0 1 8, 2θ 32.14, d 2.785, intensity 67.6
- hkl 1 0 16, 2θ 45.82, d 1.980, intensity 23.4
- hkl 1 1 0, 2θ 46.37, d 1.958, intensity 25.2
- hkl 0 1 20, 2θ 54.23, d 1.691, intensity 13.7
- hkl 1 1 12, 2θ 54.72, d 1.677, intensity 29.1
- hkl 0 2 4, 2θ 54.96, d 1.671, intensity 15.2
- hkl 2 0 8, 2θ 57.54, d 1.602, intensity 13.0
- hkl 2 1 4, 2θ 74.69, d 1.271, intensity 12.3

[6]
Simulated PXRD pattern of BaLiAcO3 for Cu Kα, from DFT lattice parameters and positions (PBE).

Structural model:
```
data_BaLiAcO3
_chemical_formula_sum 'Ba4 Li4 Ac4 O12'
_cell_length_a 3.7497
_cell_length_b 11.7115
_cell_length_c 9.8067
_cell_angle_alpha 90.00
_cell_angle_beta 90.00
_cell_angle_gamma 90.00
_symmetry_space_group_name_H-M 'C m c m'
_symmetry_Int_Tables_number 63
_symmetry_space_group_name_Hall '-C 2c 2'
loop_
_atom_site_label
_atom_site_fract_x
_atom_site_fract_y
_atom_site_fract_z
Ba1 0.0000 0.2491 0.2500
Li1 0.0000 0.0281 0.7500
Ac1 0.0000 0.5000 0.0000
O1 0.0000 0.1220 0.5886
O2 0.0000 0.4323 0.7500
```

Top 10 peaks for 2θ from 10° to 90°, in order of rising 2θ:
- hkl 0 2 2, 2θ 23.67, d 3.759, intensity 100.0
- hkl 1 1 0, 2θ 24.93, d 3.571, intensity 32.5
- hkl 0 4 0, 2θ 30.53, d 2.928, intensity 23.9
- hkl 1 1 2, 2θ 30.98, d 2.887, intensity 35.9
- hkl 1 3 0, 2θ 33.13, d 2.704, intensity 23.0
- hkl 1 3 1, 2θ 34.40, d 2.607, intensity 18.4
- hkl 1 3 2, 2θ 38.00, d 2.368, intensity 27.3
- hkl 1 1 4, 2θ 44.84, d 2.021, intensity 19.6
- hkl 0 6 2, 2θ 50.28, d 1.815, intensity 26.1
- hkl 2 2 2, 2θ 54.71, d 1.678, intensity 21.3

[7]
Simulated PXRD pattern of Ba5AcMg6 for Cu Kα, from DFT lattice parameters and positions (PBE).

Structural model:
```
data_Ba5AcMg6
_chemical_formula_sum 'Ba10 Ac2 Mg12'
_cell_length_a 6.1231
_cell_length_b 8.6073
_cell_length_c 18.4010
_cell_angle_alpha 90.00
_cell_angle_beta 90.00
_cell_angle_gamma 90.00
_symmetry_space_group_name_H-M 'I m m m'
_symmetry_Int_Tables_number 71
_symmetry_space_group_name_Hall '-I 2 2'
loop_
_atom_site_label
_atom_site_fract_x
_atom_site_fract_y
_atom_site_fract_z
Ba1 0.0000 0.0000 0.0000
Ba2 0.0000 0.0000 0.3303
Ba3 0.0000 0.5000 0.3348
Ac1 0.0000 0.5000 0.0000
Mg1 0.0000 0.2311 0.5000
Mg2 0.0000 0.2601 0.1613
```

Top 10 peaks for 2θ from 10° to 90°, in order of rising 2θ:
- hkl 1 0 3, 2θ 20.50, d 4.333, intensity 58.0
- hkl 0 2 0, 2θ 20.64, d 4.304, intensity 28.7
- hkl 2 0 0, 2θ 29.14, d 3.064, intensity 50.6
- hkl 1 2 3, 2θ 29.25, d 3.054, intensity 100.0
- hkl 2 2 0, 2θ 35.98, d 2.496, intensity 29.4
- hkl 2 0 6, 2θ 41.69, d 2.167, intensity 18.9
- hkl 2 2 6, 2θ 46.94, d 1.936, intensity 20.2
- hkl 3 2 3, 2θ 51.73, d 1.767, intensity 40.0
- hkl 2 4 0, 2θ 51.92, d 1.761, intensity 19.6
- hkl 4 0 6, 2θ 68.50, d 1.370, intensity 17.2

[8]
Simulated PXRD pattern of BaAcMg10 for Cu Kα, from DFT lattice parameters and positions (PBE).

Structural model:
```
data_BaAcMg10
_chemical_formula_sum 'Ba1 Ac1 Mg10'
_cell_length_a 5.0545
_cell_length_b 6.2275
_cell_length_c 10.7746
_cell_angle_alpha 90.00
_cell_angle_beta 90.00
_cell_angle_gamma 90.00
_symmetry_space_group_name_H-M 'P m m m'
_symmetry_Int_Tables_number 47
loop_
_symmetry_equiv_pos_as_xyz
'x,y,z'
'-x,-y,-z'
'-x,-y,z'
'x,y,-z'
'x,-y,-z'
'-x,y,z'
'-x,y,-z'
'x,-y,z'
loop_
_atom_site_label
_atom_site_fract_x
_atom_site_fract_y
_atom_site_fract_z
Ba1 0.0000 0.0000 0.0000
Ac1 0.0000 0.5000 0.5000
Mg1 0.0000 0.0000 0.3362
Mg2 0.0000 0.5000 0.1702
Mg3 0.5000 0.0000 0.5000
Mg4 0.5000 0.2539 0.2565
Mg5 0.5000 0.5000 0.0000
```

Top 10 peaks for 2θ from 10° to 90°, in order of rising 2θ:
- hkl 0 1 1, 2θ 16.45, d 5.390, intensity 58.0
- hkl 1 0 0, 2θ 17.55, d 5.055, intensity 25.2
- hkl 1 1 1, 2θ 24.14, d 3.687, intensity 100.0
- hkl 0 2 0, 2θ 28.69, d 3.112, intensity 43.0
- hkl 0 2 2, 2θ 33.24, d 2.695, intensity 37.2
- hkl 1 2 0, 2θ 33.82, d 2.650, intensity 88.4
- hkl 2 2 0, 2θ 46.28, d 1.962, intensity 23.3
- hkl 1 3 1, 2θ 48.16, d 1.890, intensity 31.8
- hkl 2 2 2, 2θ 49.44, d 1.844, intensity 24.3
- hkl 1 3 3, 2θ 54.18, d 1.693, intensity 22.7